Structure and theoretical X-ray diffraction stick pattern of Ca4DyPb15 (the PBE geometry in Alexandria; Cu Ka).

Top 10 peaks for 2θ = 5–70°, sorted by position:
d (Å), two_theta, I/Imax, index
4.912, 18.06, 75, 1 0 0
3.490, 25.53, 68, 1 0 5
2.845, 31.45, 1000, 1 1 5
2.479, 36.23, 174, 0 0 10
2.456, 36.59, 337, 2 0 0
1.745, 52.44, 242, 2 0 10
1.736, 52.71, 120, 2 2 0
1.492, 62.20, 145, 1 1 15
1.482, 62.68, 287, 3 1 5
1.422, 65.64, 126, 2 2 10

```
Ca4DyPb15
1.0
4.912 0.000 0.000
0.000 4.912 0.000
0.000 0.000 24.793
Ca Dy Pb
4 1 15
Cartesian
0.000 0.000 2.490
0.000 0.000 7.492
0.000 0.000 17.302
0.000 0.000 22.303
0.000 0.000 12.397
0.000 2.456 0.000
0.000 2.456 4.979
0.000 2.456 9.958
0.000 2.456 14.835
0.000 2.456 19.814
2.456 0.000 0.000
2.456 0.000 4.979
2.456 0.000 9.958
2.456 0.000 14.835
2.456 0.000 19.814
2.456 2.456 2.497
2.456 2.456 7.474
2.456 2.456 12.397
2.456 2.456 17.320
2.456 2.456 22.296
```